This entry pairs a crystal structure of UGa with its theoretical powder diffractogram. Radiation: Cu Kα (weighted mean of Kα1 and Kα2). Structure: a cell relaxed with PBE.

Structure:
```
data_UGa
_space_group_name_H-M_alt 'C m m m'
_space_group_IT_number 65
_space_group_name_Hall '-C 2 2'
_cell_length_a 5.421
_cell_length_b 10.806
_cell_length_c 5.446
_cell_angle_alpha 90.00
_cell_angle_beta 90.00
_cell_angle_gamma 90.00
loop_
_atom_site_label
_atom_site_fract_x
_atom_site_fract_y
_atom_site_fract_z
U1 0.000 0.000 0.000
U2 0.000 0.000 0.500
U3 0.000 0.235 0.000
Ga1 0.000 0.500 0.253
Ga2 0.250 0.250 0.500
```

Main lines, low angle first (2θ from 10° to 90°):
(1 1 0), 2θ 18.31, rel. 72
(0 0 2), 2θ 32.89, rel. 61
(2 0 0), 2θ 33.05, rel. 61
(0 4 0), 2θ 33.16, rel. 100
(2 0 1), 2θ 37.03, rel. 48
(1 1 2), 2θ 37.90, rel. 84
(2 2 1), 2θ 40.76, rel. 59
(0 4 2), 2θ 47.37, rel. 63
(2 4 0), 2θ 47.52, rel. 42
(1 5 2), 2θ 56.99, rel. 42

This entry pairs a crystal structure of AcDy3 with its theoretical powder diffractogram. Radiation: Cu Kα (weighted mean of Kα1 and Kα2). Structure: a cell relaxed with PBE.

Structure:
```
data_AcDy3
_space_group_name_H-M_alt 'I 4/m m m'
_space_group_IT_number 139
_space_group_name_Hall '-I 4 2'
_cell_length_a 5.202
_cell_length_b 5.202
_cell_length_c 10.264
_cell_angle_alpha 90.00
_cell_angle_beta 90.00
_cell_angle_gamma 90.00
loop_
_atom_site_label
_atom_site_fract_x
_atom_site_fract_y
_atom_site_fract_z
Ac1 0.000 0.000 0.000
Dy1 0.000 0.000 0.500
Dy2 0.000 0.500 0.250
```

Main lines, low angle first (2θ from 10° to 90°):
(1 1 2), 2θ 29.88, rel. 100
(2 0 0), 2θ 34.48, rel. 34
(0 0 4), 2θ 34.97, rel. 17
(2 2 0), 2θ 49.56, rel. 12
(2 0 4), 2θ 49.92, rel. 24
(3 1 2), 2θ 58.96, rel. 30
(1 1 6), 2θ 59.60, rel. 14
(2 2 4), 2θ 62.09, rel. 13
(3 3 2), 2θ 80.54, rel. 6
(3 1 6), 2θ 81.10, rel. 12

This entry pairs a crystal structure of Pr5Co19 with its theoretical powder diffractogram. Radiation: Cu Kα (weighted mean of Kα1 and Kα2). Structure: a cell relaxed with PBE.

Structure:
```
data_Pr5Co19
_space_group_name_H-M_alt 'R -3 m'
_space_group_IT_number 166
_space_group_name_Hall '-R 3 2"'
_cell_length_a 5.0662
_cell_length_b 5.0662
_cell_length_c 48.4430
_cell_angle_alpha 90.00
_cell_angle_beta 90.00
_cell_angle_gamma 120.00
loop_
_atom_site_label
_atom_site_fract_x
_atom_site_fract_y
_atom_site_fract_z
Pr1 0.0000 0.0000 0.0000
Pr2 0.0000 0.0000 0.0794
Pr3 0.0000 0.0000 0.1529
Co1 0.0000 0.0000 0.2509
Co2 0.0000 0.0000 0.3335
Co3 0.0000 0.0000 0.4148
Co4 0.0000 0.0000 0.5000
Co5 0.9999 0.4999 0.0407
Co6 0.0058 0.5029 0.1219
```

Main lines, low angle first (2θ from 10° to 90°):
(1 0 13), 2θ 31.50, rel. 36
(0 1 14), 2θ 32.97, rel. 23
(1 1 0), 2θ 35.44, rel. 43
(0 2 1), 2θ 41.19, rel. 32
(1 1 12), 2θ 42.11, rel. 100
(0 0 24), 2θ 44.91, rel. 17
(3 0 0), 2θ 63.59, rel. 14
(2 0 26), 2θ 65.76, rel. 10
(0 3 12), 2θ 68.20, rel. 22
(2 2 0), 2θ 74.99, rel. 19